Structure and computed PXRD pattern of Tm6CoRh3 (a crystal structure in Alexandria, relaxed with PBE; Cu Kα (weighted mean of Kα1 and Kα2)).
Lines closer than 0.1° are merged.

Most intense lines, 2θ from 15° to 90°, low angle first:
| 2θ/deg | Rel. int. | index |
| --- | --- | --- |
| 26.7 | 23.2 | 1 2 1 |
| 31.0 | 21.2 | 2 1 1 |
| 31.3 | 75.2 | 1 3 1 |
| 31.9 | 26.3 | 2 3 0 |
| 37.0 | 81.7 | 1 4 1 |
| 37.4 | 31.1 | 2 4 0 |
| 38.7 | 61.7 | 0 0 2 |
| 40.1 | 100.0 | 3 0 1 |
| 54.9 | 19.4 | 2 4 2 |
| 71.0 | 18.4 | 3 0 3 |

Structural model:
```
data_Tm6CoRh3
_space_group_name_H-M_alt 'P n n m'
_space_group_IT_number 58
_space_group_name_Hall '-P 2 2n'
_cell_length_a 7.7145
_cell_length_b 12.2833
_cell_length_c 4.6513
_cell_angle_alpha 90.00
_cell_angle_beta 90.00
_cell_angle_gamma 90.00
loop_
_atom_site_label
_atom_site_fract_x
_atom_site_fract_y
_atom_site_fract_z
Tm1 0.0085 0.2329 0.0000
Tm2 0.1382 0.4021 0.5000
Tm3 0.1877 0.0740 0.5000
Co1 0.0000 0.5000 0.0000
Rh1 0.0000 0.0000 0.0000
Rh2 0.1644 0.8407 0.5000
```

***

Structure and computed PXRD pattern of Ce2PrF8 (a crystal structure in Alexandria, relaxed with PBE; Cu Kα (weighted mean of Kα1 and Kα2)).
Lines closer than 0.1° are merged.

Most intense lines, 2θ from 15° to 90°, low angle first:
| 2θ/deg | Rel. int. | index |
| --- | --- | --- |
| 26.1 | 92.7 | 1 1 0 |
| 26.8 | 37.4 | 0 2 0 |
| 27.1 | 80.0 | 0 1 3 |
| 32.6 | 37.8 | 1 0 3 |
| 42.7 | 100.0 | 1 2 3 |
| 45.6 | 22.9 | 2 0 0 |
| 46.9 | 19.7 | 1 3 0 |
| 47.5 | 17.5 | 0 3 3 |
| 53.9 | 24.5 | 2 1 3 |
| 55.5 | 19.3 | 1 1 6 |

Structural model:
```
data_Ce2PrF8
_space_group_name_H-M_alt 'I m m m'
_space_group_IT_number 71
_space_group_name_Hall '-I 2 2'
_cell_length_a 3.9766
_cell_length_b 6.6533
_cell_length_c 11.3656
_cell_angle_alpha 90.00
_cell_angle_beta 90.00
_cell_angle_gamma 90.00
loop_
_atom_site_label
_atom_site_fract_x
_atom_site_fract_y
_atom_site_fract_z
Ce1 0.0000 0.0000 0.1832
Pr1 0.0000 0.0000 0.5000
F1 0.0000 0.1935 0.0000
F2 0.0000 0.2769 0.3433
F3 0.0000 0.5000 0.1425
```

***

Structure and computed PXRD pattern of CaMnH5 (a crystal structure in Alexandria, relaxed with PBE; Cu Kα (weighted mean of Kα1 and Kα2)).
Lines closer than 0.1° are merged.

Most intense lines, 2θ from 15° to 90°, low angle first:
| 2θ/deg | Rel. int. | index |
| --- | --- | --- |
| 29.6 | 100.0 | 0 0 2 |
| 33.2 | 2.4 | 1 0 1 |
| 42.3 | 69.6 | 1 0 2 |
| 45.0 | 0.6 | 1 1 1 |
| 52.5 | 25.6 | 1 1 2 |
| 54.8 | 0.5 | 1 0 3 |
| 61.4 | 11.3 | 2 0 0 |
| 63.5 | 0.7 | 1 1 3 |
| 69.6 | 28.3 | 2 0 2 |
| 77.4 | 20.7 | 1 1 4 |

Structural model:
```
data_CaMnH5
_space_group_name_H-M_alt 'P 4/m m m'
_space_group_IT_number 123
_space_group_name_Hall '-P 4 2'
_cell_length_a 3.0214
_cell_length_b 3.0214
_cell_length_c 6.0366
_cell_angle_alpha 90.00
_cell_angle_beta 90.00
_cell_angle_gamma 90.00
loop_
_atom_site_label
_atom_site_fract_x
_atom_site_fract_y
_atom_site_fract_z
Ca1 0.0000 0.0000 0.0000
Mn1 0.0000 0.0000 0.5000
H1 0.0000 0.5000 0.3410
H2 0.5000 0.5000 0.0000
```

***

Structure and computed PXRD pattern of Ac4SmIn (a crystal structure in Alexandria, relaxed with PBE; Cu Kα (weighted mean of Kα1 and Kα2)).
Lines closer than 0.1° are merged.

Most intense lines, 2θ from 15° to 90°, low angle first:
| 2θ/deg | Rel. int. | index |
| --- | --- | --- |
| 20.7 | 41.8 | 2 2 0 |
| 27.3 | 100.0 | 2 0 2 |
| 29.5 | 63.0 | 4 0 0 |
| 32.8 | 21.3 | 3 1 2 |
| 39.1 | 18.1 | 3 3 2 |
| 40.6 | 57.3 | 4 2 2 |
| 42.2 | 20.4 | 4 4 0 |
| 51.6 | 12.6 | 2 2 4 |
| 56.2 | 17.3 | 4 0 4 |
| 63.1 | 13.5 | 7 3 2 |

Structural model:
```
data_Ac4SmIn
_space_group_name_H-M_alt 'I 41 m d'
_space_group_IT_number 109
_space_group_name_Hall 'I 4bw -2'
_cell_length_a 12.1170
_cell_length_b 12.1170
_cell_length_c 7.7771
_cell_angle_alpha 90.00
_cell_angle_beta 90.00
_cell_angle_gamma 90.00
loop_
_atom_site_label
_atom_site_fract_x
_atom_site_fract_y
_atom_site_fract_z
Ac1 0.0000 0.2147 0.0000
Ac2 0.0000 0.2413 0.4956
Sm1 0.0000 0.0000 0.7411
In1 0.0000 0.0000 0.3058
```

***

Structure and computed PXRD pattern of PmCr2H8 (a crystal structure in Alexandria, relaxed with PBE; Cu Kα (weighted mean of Kα1 and Kα2)).
Lines closer than 0.1° are merged.

Most intense lines, 2θ from 15° to 90°, low angle first:
| 2θ/deg | Rel. int. | index |
| --- | --- | --- |
| 23.1 | 23.9 | 0 1 1 |
| 30.0 | 59.9 | 1 2 0 |
| 30.5 | 100.0 | 1 1 1 |
| 39.9 | 58.8 | 2 0 0 |
| 40.9 | 18.4 | 0 0 2 |
| 50.4 | 10.8 | 1 4 0 |
| 51.6 | 25.6 | 1 2 2 |
| 57.6 | 26.3 | 2 3 1 |
| 58.5 | 12.7 | 2 0 2 |
| 66.1 | 13.2 | 1 5 1 |

Structural model:
```
data_PmCr2H8
_space_group_name_H-M_alt 'A m m 2'
_space_group_IT_number 38
_space_group_name_Hall 'A 2 -2'
_cell_length_a 4.5256
_cell_length_b 7.8980
_cell_length_c 4.4079
_cell_angle_alpha 90.00
_cell_angle_beta 90.00
_cell_angle_gamma 90.00
loop_
_atom_site_label
_atom_site_fract_x
_atom_site_fract_y
_atom_site_fract_z
Pm1 0.0000 0.0000 0.0000
Cr1 0.5000 0.1743 0.4832
H1 0.2284 0.2316 0.7549
H2 0.2566 0.0000 0.5020
H3 0.5000 0.1180 0.0934
```

***

Structure and computed PXRD pattern of TiNbSe2 (a crystal structure in Alexandria, relaxed with PBE; Cu Kα (weighted mean of Kα1 and Kα2)).
Lines closer than 0.1° are merged.

Most intense lines, 2θ from 15° to 90°, low angle first:
| 2θ/deg | Rel. int. | index |
| --- | --- | --- |
| 23.9 | 6.3 | 1 1 1 |
| 39.5 | 100.0 | 2 2 0 |
| 46.7 | 3.3 | 3 1 1 |
| 57.1 | 16.4 | 4 0 0 |
| 62.8 | 1.4 | 3 3 1 |
| 71.7 | 32.7 | 4 2 2 |
| 76.8 | 1.1 | 5 1 1 |
| 85.1 | 10.4 | 4 4 0 |

Structural model:
```
data_TiNbSe2
_space_group_name_H-M_alt 'F m -3 m'
_space_group_IT_number 225
_space_group_name_Hall '-F 4 2 3'
_cell_length_a 6.4496
_cell_length_b 6.4496
_cell_length_c 6.4496
_cell_angle_alpha 90.00
_cell_angle_beta 90.00
_cell_angle_gamma 90.00
loop_
_atom_site_label
_atom_site_fract_x
_atom_site_fract_y
_atom_site_fract_z
Ti1 0.0000 0.0000 0.0000
Nb1 0.0000 0.0000 0.5000
Se1 0.2500 0.2500 0.2500
```